The following is a computed X-ray diffraction stick pattern of BaSrYNbO6. It was derived from DFT lattice parameters and positions (PBE), using Cu Kα.
Lines closer than 0.1° are merged.

Structural model:
abc: 8.505 8.505 8.505
angles: 90.00 90.00 90.00
Space group F-43m (No. 216)
Unique sites:
Ba: 0.000 0.000 0.000 (multiplicity 4)
Sr: 0.000 0.000 0.500 (multiplicity 4)
Y: 0.250 0.250 0.250 (multiplicity 4)
Nb: 0.250 0.250 0.750 (multiplicity 4)
O: 0.013 0.250 0.750 (multiplicity 24)

Most intense lines, 2θ from 10° to 80°, in order of rising 2θ:
Position (°2θ), Rel. int.
18.07, 3.3
29.71, 100.0
34.99, 1.7
36.60, 4.7
42.52, 33.1
52.73, 39.8
61.70, 20.2
69.96, 17.6
73.92, 1.2
77.81, 6.6


The following is a computed X-ray diffraction stick pattern of Ba3TaNb4O15. It was derived from DFT lattice parameters and positions (PBE), using Cu Kα.
Lines closer than 0.1° are merged.

Structural model:
abc: 12.831 12.831 4.038
angles: 90.00 90.00 90.00
Space group P4/mbm (No. 127)
Unique sites:
Ba: 0.000 0.000 0.000 (multiplicity 2)
Ba: 0.170 0.330 0.000 (multiplicity 4)
Ta: 0.000 0.500 0.500 (multiplicity 2)
Nb: 0.077 0.787 0.500 (multiplicity 8)
O: 0.000 0.500 0.000 (multiplicity 2)
O: 0.007 0.345 0.500 (multiplicity 8)
O: 0.070 0.139 0.500 (multiplicity 8)
O: 0.077 0.790 0.000 (multiplicity 8)
O: 0.219 0.719 0.500 (multiplicity 4)

Most intense lines, 2θ from 10° to 80°, in order of rising 2θ:
Position (°2θ), Rel. int.
25.02, 13.0
27.00, 34.6
28.69, 33.6
29.57, 15.4
31.23, 100.0
44.90, 17.7
50.31, 17.5
54.15, 11.1
55.52, 16.5
55.67, 11.5


The following is a computed X-ray diffraction stick pattern of Ba2TbNbO6. It was derived from DFT lattice parameters and positions (PBE), using Cu Kα.
Lines closer than 0.1° are merged.

Structural model:
abc: 8.582 8.582 8.582
angles: 90.00 90.00 90.00
Space group Fm-3m (No. 225)
Unique sites:
Ba: 0.250 0.250 0.250 (multiplicity 8)
Tb: 0.000 0.000 0.000 (multiplicity 4)
Nb: 0.000 0.000 0.500 (multiplicity 4)
O: 0.000 0.000 0.264 (multiplicity 24)

Most intense lines, 2θ from 10° to 80°, in order of rising 2θ:
Position (°2θ), Rel. int.
17.90, 2.3
29.44, 100.0
34.67, 2.3
36.26, 1.9
42.12, 29.8
46.10, 1.4
52.22, 40.5
61.08, 18.7
69.24, 18.0
76.98, 6.2


The following is a computed X-ray diffraction stick pattern of Ba2TbNbO6. It was derived from DFT lattice parameters and positions (PBE), using Cu Kα.
Lines closer than 0.1° are merged.

Structural model:
abc: 6.041 6.041 8.614
angles: 90.00 90.00 90.00
Space group I4/m (No. 87)
Unique sites:
Ba: 0.000 0.500 0.250 (multiplicity 4)
Tb: 0.000 0.000 0.000 (multiplicity 2)
Nb: 0.000 0.000 0.500 (multiplicity 2)
O: 0.000 0.000 0.264 (multiplicity 4)
O: 0.203 0.732 0.500 (multiplicity 8)

Most intense lines, 2θ from 10° to 80°, in order of rising 2θ:
Position (°2θ), Rel. int.
29.45, 100.0
29.57, 51.3
41.95, 15.3
42.32, 28.8
52.16, 21.0
52.39, 41.8
61.11, 18.4
69.01, 9.1
69.57, 18.1
77.14, 8.9


Copy entry 3 word for word.
The following is a computed X-ray diffraction stick pattern of Ba2TbNbO6. It was derived from DFT lattice parameters and positions (PBE), using Cu Kα.
Lines closer than 0.1° are merged.

Structural model:
abc: 8.582 8.582 8.582
angles: 90.00 90.00 90.00
Space group Fm-3m (No. 225)
Unique sites:
Ba: 0.250 0.250 0.250 (multiplicity 8)
Tb: 0.000 0.000 0.000 (multiplicity 4)
Nb: 0.000 0.000 0.500 (multiplicity 4)
O: 0.000 0.000 0.264 (multiplicity 24)

Most intense lines, 2θ from 10° to 80°, in order of rising 2θ:
Position (°2θ), Rel. int.
17.90, 2.3
29.44, 100.0
34.67, 2.3
36.26, 1.9
42.12, 29.8
46.10, 1.4
52.22, 40.5
61.08, 18.7
69.24, 18.0
76.98, 6.2